# 1
# La7GePt5
Calculated powder XRD pattern, Cu Kα. Input: DFT lattice parameters and positions (GGA-PBE).
No peak broadening, texture or thermal motion is included.

a = 4.276 Å, b = 14.112 Å, c = 25.010 Å
α = 90.00°, β = 90.00°, γ = 90.00°
Space group Cmcm (No. 63)
Asymmetric unit:
La: 0.000 0.055 0.250 (multiplicity 4)
La: 0.000 0.135 0.537 (multiplicity 8)
La: 0.000 0.319 0.175 (multiplicity 8)
La: 0.000 0.408 0.607 (multiplicity 8)
Ge: 0.000 0.290 0.750 (multiplicity 4)
Pt: 0.000 0.041 0.646 (multiplicity 8)
Pt: 0.000 0.227 0.073 (multiplicity 8)
Pt: 0.000 0.500 0.000 (multiplicity 4)

Peak list (10 most intense, 10 to 80 degrees two-theta, low angle first)
- 2θ 27.99, I 538
- 2θ 28.43, I 279
- 2θ 29.11, I 857
- 2θ 30.21, I 1000
- 2θ 31.29, I 446
- 2θ 39.19, I 265
- 2θ 40.95, I 272
- 2θ 42.31, I 904
- 2θ 42.44, I 780
- 2θ 44.19, I 333

# 2
# La4Ge3Pt
Calculated powder XRD pattern, Cu Kα. Input: DFT lattice parameters and positions (GGA-PBE).
No peak broadening, texture or thermal motion is included.

a = 4.261 Å, b = 4.404 Å, c = 11.484 Å
α = 90.00°, β = 90.00°, γ = 90.00°
Space group Pmm2 (No. 25)
Asymmetric unit:
La: 0.000 0.000 0.000 (multiplicity 1)
La: 0.000 0.500 0.490 (multiplicity 1)
La: 0.500 0.000 0.267 (multiplicity 1)
La: 0.500 0.500 0.775 (multiplicity 1)
Ge: 0.000 0.000 0.705 (multiplicity 1)
Ge: 0.000 0.500 0.208 (multiplicity 1)
Ge: 0.500 0.000 0.555 (multiplicity 1)
Pt: 0.500 0.500 0.047 (multiplicity 1)

Peak list (10 most intense, 10 to 80 degrees two-theta, low angle first)
- 2θ 30.20, I 1000
- 2θ 30.95, I 310
- 2θ 31.15, I 284
- 2θ 37.61, I 681
- 2θ 37.78, I 219
- 2θ 40.99, I 259
- 2θ 42.43, I 235
- 2θ 52.38, I 210
- 2θ 60.19, I 147
- 2θ 60.46, I 165

# 3
# La3ZnGe6Pt2
Calculated powder XRD pattern, Cu Kα. Input: DFT lattice parameters and positions (GGA-PBE).
No peak broadening, texture or thermal motion is included.

a = 6.0785 Å, b = 6.0785 Å, c = 8.3776 Å
α = 90.00°, β = 90.00°, γ = 120.00°
Space group P-3m1 (No. 164)
Asymmetric unit:
La: 0.0000 0.0000 0.0000 (multiplicity 1)
La: 0.3333 0.6667 0.6405 (multiplicity 2)
Zn: 0.0000 0.0000 0.5000 (multiplicity 1)
Ge: 0.1912 0.3824 0.2840 (multiplicity 6)
Pt: 0.3333 0.6667 0.0271 (multiplicity 2)

Peak list (10 most intense, 10 to 80 degrees two-theta, low angle first)
- 2θ 27.21, I 331
- 2θ 29.39, I 1000
- 2θ 31.31, I 263
- 2θ 32.05, I 398
- 2θ 35.76, I 479
- 2θ 36.53, I 792
- 2θ 40.48, I 455
- 2θ 44.04, I 390
- 2θ 56.89, I 277
- 2θ 60.97, I 325

# 4
# LaPu6Ge6
Calculated powder XRD pattern, Cu Kα. Input: DFT lattice parameters and positions (GGA-PBE).
No peak broadening, texture or thermal motion is included.

a = 6.198 Å, b = 9.940 Å, c = 9.625 Å
α = 90.00°, β = 90.00°, γ = 90.00°
Space group Cmmm (No. 65)
Asymmetric unit:
La: 0.000 0.000 0.000 (multiplicity 2)
Pu: 0.000 0.500 0.316 (multiplicity 4)
Pu: 0.250 0.250 0.231 (multiplicity 8)
Ge: 0.000 0.000 0.321 (multiplicity 4)
Ge: 0.000 0.228 0.500 (multiplicity 4)
Ge: 0.000 0.372 0.000 (multiplicity 4)

Peak list (10 most intense, 10 to 80 degrees two-theta, low angle first)
- 2θ 18.44, I 682
- 2θ 33.24, I 623
- 2θ 34.10, I 956
- 2θ 34.42, I 344
- 2θ 36.15, I 481
- 2θ 37.37, I 250
- 2θ 39.03, I 1000
- 2θ 40.47, I 287
- 2θ 40.87, I 361
- 2θ 68.73, I 199